Entry 1:
Computed powder diffractogram
Compound: La3SiAgSe7
Radiation: CuKα
Structure: a GGA-PBE-relaxed structure

Structural model:
Cell: 10.872 10.872 6.129 Å, 90.00 90.00 120.00°
Sites, in units of the cell vectors:
La 0.127 0.358 0.000
La 0.231 0.873 0.000
La 0.358 0.231 0.500
La 0.642 0.769 0.000
La 0.769 0.127 0.500
La 0.873 0.642 0.500
Si 0.333 0.667 0.411
Si 0.667 0.333 0.911
Ag 0.000 0.000 0.071
Ag 0.000 0.000 0.571
Se 0.095 0.268 0.518
Se 0.110 0.586 0.264
Se 0.173 0.905 0.518
Se 0.268 0.173 0.018
Se 0.333 0.667 0.782
Se 0.414 0.523 0.264
Se 0.477 0.890 0.264
Se 0.523 0.110 0.764
Se 0.586 0.477 0.764
Se 0.667 0.333 0.282
Se 0.732 0.827 0.518
Se 0.827 0.095 0.018
Se 0.890 0.414 0.764
Se 0.905 0.732 0.018

Peak list (8 most intense, 5 to 70 degrees two-theta, by angle)
29.0 deg, intensity 64, hkl 1 2 1; 30.7 deg, intensity 73, hkl 1 0 2; 32.0 deg, intensity 52, hkl 3 0 1; 33.0 deg, intensity 73, hkl 2 2 0; 34.3 deg, intensity 100, hkl 1 3 0; 37.4 deg, intensity 41, hkl 3 1 1; 38.8 deg, intensity 71, hkl 1 2 2; 44.5 deg, intensity 42, hkl 2 2 2

---

Entry 2:
Computed powder diffractogram
Compound: LaPrZr2Sb2
Radiation: CuKα
Structure: a GGA-PBE-relaxed structure

Structural model:
Cell: 4.393 4.393 17.291 Å, 90.00 90.00 90.00°
Sites, in units of the cell vectors:
La 0.000 0.000 0.000
La 0.500 0.500 0.500
Pr 0.000 0.000 0.353
Pr 0.500 0.500 0.853
Zr 0.000 0.500 0.177
Zr 0.000 0.500 0.677
Zr 0.500 0.000 0.177
Zr 0.500 0.000 0.677
Sb 0.000 0.000 0.552
Sb 0.000 0.000 0.802
Sb 0.500 0.500 0.052
Sb 0.500 0.500 0.302

Peak list (8 most intense, 5 to 70 degrees two-theta, by angle)
28.7 deg, intensity 39, hkl 1 1 0; 30.6 deg, intensity 75, hkl 1 1 2; 31.0 deg, intensity 29, hkl 0 0 6; 33.0 deg, intensity 69, hkl 1 0 5; 35.6 deg, intensity 100, hkl 1 1 4; 41.1 deg, intensity 66, hkl 2 0 0; 52.4 deg, intensity 26, hkl 2 0 6; 53.7 deg, intensity 34, hkl 2 1 5